For Li7Mn2Co3O12, the PBE+U geometry in Alexandria gives the simulated X-ray diffraction stick pattern in this record (a wavelength of 1.5418 Å).
Kinematic intensities with the Lorentz-polarization factor, no thermal factor.

Crystal structure
```
data_Li7Mn2Co3O12
_symmetry_space_group_name_H-M 'C 1 m 1'
_symmetry_Int_Tables_number 8
_cell_length_a 15.249
_cell_length_b 2.872
_cell_length_c 11.728
_cell_angle_alpha 90.00
_cell_angle_beta 124.51
_cell_angle_gamma 90.00
loop_
_symmetry_equiv_pos_as_xyz
'x,y,z'
'x,-y,z'
'x+1/2,y+1/2,z'
'x+1/2,-y+1/2,z'
loop_
_atom_site_label
_atom_site_type_symbol
_atom_site_fract_x
_atom_site_fract_y
_atom_site_fract_z
Li1 Li 0.000 0.000 0.000
Li2 Li 0.001 0.000 0.245
Li3 Li 0.010 0.000 0.767
Li4 Li 0.148 0.500 0.236
Li5 Li 0.178 0.500 0.763
Li6 Li 0.330 0.000 0.243
Li7 Li 0.350 0.000 0.772
Mn1 Mn 0.007 0.000 0.508
Mn2 Mn 0.165 0.500 0.002
Co1 Co 0.168 0.500 0.499
Co2 Co 0.334 0.000 0.501
Co3 Co 0.350 0.000 0.010
O1 O 0.010 0.500 0.398
O2 O 0.010 0.500 0.620
O3 O 0.016 0.500 0.885
O4 O 0.159 0.000 0.607
O5 O 0.167 0.000 0.389
O6 O 0.168 0.000 0.117
O7 O 0.172 0.000 0.894
O8 O 0.320 0.500 0.605
O9 O 0.323 0.500 0.114
O10 O 0.333 0.500 0.883
O11 O 0.354 0.500 0.400
O12 O 0.492 0.000 0.126
```

The 10 most intense peaks (10 to 90 degrees two-theta), by angle:
- 18.36 deg, rel. 1000, hkl 0 0 2
- 35.79 deg, rel. 120, hkl 6 0 -2
- 36.50 deg, rel. 248, hkl 3 1 -2
- 43.20 deg, rel. 267, hkl 6 0 0
- 44.14 deg, rel. 536, hkl 3 1 -4
- 47.89 deg, rel. 115, hkl 6 0 -6
- 58.02 deg, rel. 93, hkl 3 1 -6
- 63.16 deg, rel. 137, hkl 3 1 4
- 63.78 deg, rel. 137, hkl 9 1 -4
- 64.93 deg, rel. 72, hkl 0 2 0